The following is a computed powder diffractogram of NaFeH4SO6F. It was derived from a GGA+U-relaxed structure, using Cu Kα X-rays.
Lines closer than 0.1° are merged.

Structural model:
```
data_NaFeH4SO6F
_cell_length_a 7.434
_cell_length_b 7.509
_cell_length_c 10.904
_cell_angle_alpha 90.04
_cell_angle_beta 103.71
_cell_angle_gamma 90.02
_space_group_name_H-M_alt 'P -1'
_space_group_IT_number 2
_space_group_name_Hall '-P 1'
loop_
_atom_site_label
_atom_site_fract_x
_atom_site_fract_y
_atom_site_fract_z
Na1 0.081 0.250 0.286
Na2 0.419 0.750 0.213
Fe1 0.000 0.000 0.000
Fe2 0.000 0.500 0.000
Fe3 0.500 0.000 0.500
Fe4 0.500 0.500 0.500
H1 0.131 0.568 0.437
H2 0.131 0.932 0.437
H3 0.159 0.091 0.536
H4 0.159 0.409 0.536
H5 0.342 0.594 0.966
H6 0.342 0.906 0.966
H7 0.369 0.069 0.062
H8 0.369 0.431 0.062
S1 0.082 0.250 0.771
S2 0.418 0.750 0.731
O1 0.007 0.588 0.189
O2 0.007 0.912 0.189
O3 0.034 0.250 0.627
O4 0.199 0.045 0.462
O5 0.199 0.455 0.462
O6 0.217 0.750 0.678
O7 0.283 0.250 0.820
O8 0.300 0.544 0.038
O9 0.300 0.956 0.038
O10 0.461 0.750 0.875
O11 0.491 0.412 0.308
O12 0.492 0.088 0.308
F1 0.059 0.250 0.079
F2 0.459 0.750 0.426
```

Peak list (6 most intense, 2θ from 10° to 80°, by intensity)
d (Å)	I (rel.)	h k l
3.063	100	0 2 2
5.401	61	1 0 1
3.611	56	2 0 0
6.759	45	1 0 -1
3.282	45	1 2 -1
3.254	31	2 1 0

The following is a computed powder diffractogram of Fe3H4O2F8. It was derived from a GGA+U-relaxed structure, using Cu Kα X-rays.
Lines closer than 0.1° are merged.

Structural model:
```
data_Fe3H4O2F8
_cell_length_a 7.740
_cell_length_b 7.621
_cell_length_c 7.513
_cell_angle_alpha 90.00
_cell_angle_beta 118.01
_cell_angle_gamma 90.00
_space_group_name_H-M_alt 'C 1 2/m 1'
_space_group_IT_number 12
_space_group_name_Hall '-C 2y'
loop_
_atom_site_label
_atom_site_fract_x
_atom_site_fract_y
_atom_site_fract_z
Fe1 0.000 0.000 0.000
Fe2 0.250 0.250 0.500
H1 0.204 0.396 0.084
O1 0.244 0.500 0.034
F1 0.000 0.206 0.500
F2 0.130 0.207 0.210
F3 0.183 0.500 0.439
```

Peak list (6 most intense, 2θ from 10° to 80°, by intensity)
d (Å)	I (rel.)	h k l
3.304	100	0 2 1
3.865	93	2 0 -1
3.316	61	0 0 2
6.633	42	0 0 1
1.912	36	0 2 3
5.087	34	1 1 0

The following is a computed powder diffractogram of Fe2PHO3F2. It was derived from a GGA+U-relaxed structure, using Cu Kα X-rays.
Lines closer than 0.1° are merged.

Structural model:
```
data_Fe2PHO3F2
_cell_length_a 7.454
_cell_length_b 10.161
_cell_length_c 5.615
_cell_angle_alpha 90.00
_cell_angle_beta 90.00
_cell_angle_gamma 90.00
_space_group_name_H-M_alt 'P n m a'
_space_group_IT_number 62
_space_group_name_Hall '-P 2ac 2n'
loop_
_atom_site_label
_atom_site_fract_x
_atom_site_fract_y
_atom_site_fract_z
Fe1 0.098 0.061 0.248
P1 0.162 0.750 0.078
H1 0.238 0.750 0.306
O1 0.047 0.624 0.059
O2 0.183 0.250 0.391
F1 0.153 0.545 0.581
```

Peak list (6 most intense, 2θ from 10° to 80°, by intensity)
d (Å)	I (rel.)	h k l
3.105	100	2 0 1
2.900	79	0 3 1
5.080	54	0 2 0
1.870	36	2 3 2
1.589	34	2 2 3
4.103	33	1 1 1

The following is a computed powder diffractogram of HfFeF6. It was derived from a GGA+U-relaxed structure, using Cu Kα X-rays.
Lines closer than 0.1° are merged.

Structural model:
```
data_HfFeF6
_cell_length_a 8.180
_cell_length_b 8.180
_cell_length_c 8.180
_cell_angle_alpha 90.00
_cell_angle_beta 90.00
_cell_angle_gamma 90.00
_space_group_name_H-M_alt 'F m -3 m'
_space_group_IT_number 225
_space_group_name_Hall '-F 4 2 3'
loop_
_atom_site_label
_atom_site_fract_x
_atom_site_fract_y
_atom_site_fract_z
Hf1 0.000 0.000 0.000
Fe1 0.000 0.000 0.500
F1 0.000 0.000 0.246
```

Peak list (6 most intense, 2θ from 10° to 80°, by intensity)
d (Å)	I (rel.)	h k l
4.090	100	2 0 0
1.829	41	4 2 0
2.892	41	2 2 0
4.722	33	1 1 1
2.045	24	4 0 0
2.466	18	3 1 1

The following is a computed powder diffractogram of K2FeHgF6. It was derived from a GGA+U-relaxed structure, using Cu Kα X-rays.
Lines closer than 0.1° are merged.

Structural model:
```
data_K2FeHgF6
_cell_length_a 8.962
_cell_length_b 8.962
_cell_length_c 8.962
_cell_angle_alpha 90.00
_cell_angle_beta 90.00
_cell_angle_gamma 90.00
_space_group_name_H-M_alt 'F m -3 m'
_space_group_IT_number 225
_space_group_name_Hall '-F 4 2 3'
loop_
_atom_site_label
_atom_site_fract_x
_atom_site_fract_y
_atom_site_fract_z
K1 0.250 0.250 0.250
Fe1 0.000 0.000 0.000
Hg1 0.000 0.000 0.500
F1 0.000 0.000 0.219
```

Peak list (6 most intense, 2θ from 10° to 80°, by intensity)
d (Å)	I (rel.)	h k l
3.169	100	2 2 0
4.481	59	2 0 0
2.241	40	4 0 0
1.829	38	4 2 2
2.702	30	3 1 1
5.174	28	1 1 1